CaSb2P2O10: computed powder X-ray diffraction pattern (Cu Kα, 1.54184 Å), based on a structure optimized by DFT (PBE).
Peak positions follow from Bragg's law for the DFT cell and can differ from measured ones.

Peak list (10 most intense, 10° ≤ 2θ ≤ 90°, by angle)
2theta  I_rel
14.4  62
21.0  43
21.6  36
24.7  75
29.0  100
29.2  51
30.3  77
42.8  37
50.8  28
51.8  28

```
data_CaSb2P2O10
_symmetry_space_group_name_H-M 'P 1'
_symmetry_Int_Tables_number 1
_cell_length_a 9.1202
_cell_length_b 7.3875
_cell_length_c 10.3592
_cell_angle_alpha 59.05
_cell_angle_beta 44.00
_cell_angle_gamma 76.94
loop_
_symmetry_equiv_pos_as_xyz
'x,y,z'
loop_
_atom_site_label
_atom_site_fract_x
_atom_site_fract_y
_atom_site_fract_z
Ca1 0.0000 0.0000 0.0000
Ca2 0.2500 0.2500 0.2500
Sb1 0.1335 0.6248 0.6191
Sb2 0.6248 0.1335 0.6225
Sb3 0.6275 0.6309 0.6252
Sb4 0.6309 0.6275 0.1165
P1 0.0519 0.4543 0.0457
P2 0.2043 0.8018 0.1981
P3 0.4543 0.0519 0.4482
P4 0.8018 0.2043 0.7957
O1 0.0032 0.3119 0.7131
O2 0.0731 0.3790 0.9176
O3 0.1894 0.8740 0.3245
O4 0.2561 0.9385 0.5305
O5 0.2782 0.5369 0.9381
O6 0.3119 0.0032 0.9718
O7 0.3324 0.6197 0.1769
O8 0.3790 0.0731 0.6303
O9 0.4236 0.5833 0.4086
O10 0.5369 0.2782 0.2468
O11 0.5833 0.4236 0.5845
O12 0.6197 0.3324 0.8710
O13 0.6380 0.9255 0.3760
O14 0.6655 0.8414 0.6667
O15 0.7195 0.9750 0.9939
O16 0.8414 0.6655 0.8264
O17 0.8740 0.1894 0.6120
O18 0.9255 0.6380 0.0606
O19 0.9385 0.2561 0.2750
O20 0.9750 0.7195 0.3115
```